[1]
Diffraction record for Dy5CoAu2. The PXRD pattern is theoretical, not measured: it uses a cell relaxed with GGA-PBE and Cu Kα.
Lines closer than 0.1° are merged.

Largest 12 diffraction maxima, in order of rising 2θ, 2θ from 10° to 80°:
2θ 28.92, I 21.0; 2θ 30.94, I 15.2; 2θ 31.40, I 100.0; 2θ 32.04, I 30.7; 2θ 32.39, I 45.7; 2θ 33.73, I 74.0; 2θ 34.17, I 57.0; 2θ 38.14, I 17.5; 2θ 45.21, I 32.9; 2θ 46.21, I 17.5; 2θ 56.71, I 21.7; 2θ 60.50, I 16.0

a = 8.632 Å, b = 11.672 Å, c = 4.011 Å
α = 90.00°, β = 90.00°, γ = 90.00°
Element x y z (fractional)
Dy 0.000 0.000 0.000
Dy 0.149 0.304 0.000
Dy 0.175 0.578 0.500
Dy 0.325 0.078 0.500
Dy 0.351 0.804 0.000
Dy 0.500 0.500 0.000
Dy 0.649 0.196 0.000
Dy 0.675 0.922 0.500
Dy 0.825 0.422 0.500
Dy 0.851 0.696 0.000
Co 0.000 0.500 0.000
Co 0.500 0.000 0.000
Au 0.065 0.823 0.500
Au 0.435 0.323 0.500
Au 0.565 0.677 0.500
Au 0.935 0.177 0.500

***

[2]
Diffraction record for NdDyCoAu. The PXRD pattern is theoretical, not measured: it uses a cell relaxed with GGA-PBE and Cu Kα.
Lines closer than 0.1° are merged.

Largest 10 diffraction maxima, in order of rising 2θ, 2θ from 10° to 80°:
2θ 21.67, I 13.1; 2θ 25.08, I 0.8; 2θ 35.76, I 100.0; 2θ 42.20, I 7.6; 2θ 51.46, I 17.7; 2θ 56.47, I 3.4; 2θ 64.25, I 36.2; 2θ 68.67, I 2.6; 2θ 75.76, I 11.2; 2θ 79.90, I 2.7

a = 5.022 Å, b = 5.022 Å, c = 5.022 Å
α = 60.00°, β = 60.00°, γ = 60.00°
Element x y z (fractional)
Nd 0.000 0.000 0.000
Dy 0.500 0.500 0.500
Co 0.750 0.750 0.750
Au 0.250 0.250 0.250

***

[3]
Diffraction record for Er12Co6Au. The PXRD pattern is theoretical, not measured: it uses a cell relaxed with GGA-PBE and Cu Kα.
Lines closer than 0.1° are merged.

Largest 12 diffraction maxima, in order of rising 2θ, 2θ from 10° to 80°:
2θ 26.57, I 5.3; 2θ 29.78, I 45.1; 2θ 32.70, I 59.6; 2θ 35.40, I 100.0; 2θ 37.93, I 23.4; 2θ 40.33, I 8.3; 2θ 48.95, I 22.9; 2θ 56.56, I 36.3; 2θ 58.36, I 11.1; 2θ 60.12, I 39.9; 2θ 70.14, I 22.0; 2θ 73.32, I 9.6

a = 8.217 Å, b = 8.217 Å, c = 8.217 Å
α = 109.47°, β = 109.47°, γ = 109.47°
Element x y z (fractional)
Er 0.106 0.300 0.806
Er 0.194 0.494 0.300
Er 0.194 0.894 0.700
Er 0.300 0.194 0.494
Er 0.300 0.806 0.106
Er 0.494 0.300 0.194
Er 0.506 0.700 0.806
Er 0.700 0.194 0.894
Er 0.700 0.806 0.506
Er 0.806 0.106 0.300
Er 0.806 0.506 0.700
Er 0.894 0.700 0.194
Co 0.115 0.500 0.615
Co 0.385 0.885 0.500
Co 0.500 0.385 0.885
Co 0.500 0.615 0.115
Co 0.615 0.115 0.500
Co 0.885 0.500 0.385
Au 0.000 0.000 0.000